Computed powder X-ray diffraction pattern
Compound: YGa4Co2Ni
Radiation: Cu Ka
Structure: the PBE geometry in Alexandria
Intensities are scaled so that the largest is 100.

Structural model:
Unit cell a=4.0685 b=4.0685 c=25.6391 alpha=90.00 beta=90.00 gamma=120.00
Space group R-3m (No. 166, hexagonal axes)
Inequivalent atoms, fractional coordinates:
Y 0.0000 0.0000 0.0000 x3
Ga 0.0000 0.0000 0.1310 x6
Ga 0.0000 0.0000 0.4034 x6
Co 0.0000 0.0000 0.2299 x6
Ni 0.0000 0.0000 0.5000 x3

The 10 most intense peaks (2θ from 10° to 90°), by angle:
2θ/deg, intensity, h k l
10.35, 36.1, 0 0 3
30.79, 22.7, 0 1 5
37.95, 71.1, 0 1 8
43.66, 13.8, 1 0 10
44.54, 100.0, 1 1 0
46.73, 35.9, 0 1 11
59.91, 17.7, 2 0 8
77.64, 15.9, 1 2 8
82.05, 15.4, 3 0 0
83.63, 11.9, 1 2 11